1.
Diffraction record for Pr2Sm6Ho3. The powder XRD pattern is computed, not measured: it uses a crystal structure in Alexandria, relaxed with GGA-PBE and Cu Kα (weighted mean of Kα1 and Kα2).
Peak positions follow from Bragg's law for the DFT cell and can differ from measured ones.

Cell and atoms:
```
11
Lattice="-2.3950 2.3950 16.9555 2.3950 -2.3950 16.9555 2.3950 2.3950 -16.9555" Properties=species:S:1:pos:R:3 pbc="T T T"
Pr 0.0000 0.0000 1.5559
Pr 0.0000 0.0000 32.3550
Sm 2.3950 0.0000 4.1562
Sm 0.0000 0.0000 6.7407
Sm 2.3950 0.0000 12.7993
Sm 0.0000 2.3950 4.1562
Sm 0.0000 0.0000 27.1702
Sm 0.0000 2.3950 12.7993
Ho 0.0000 0.0000 10.1750
Ho 0.0000 0.0000 16.9555
Ho 0.0000 0.0000 23.7360
```

Largest 10 diffraction maxima, low angle first, 2θ from 10° to 90°:
two_theta, Rel. int.
26.30, 21.9
28.38, 100.0
31.66, 23.5
33.88, 72.6
37.55, 66.6
49.91, 26.3
54.15, 21.4
61.13, 33.0
62.26, 21.8
65.43, 21.6

2.
Diffraction record for Pr6Sm4Ho. The powder XRD pattern is computed, not measured: it uses a crystal structure in Alexandria, relaxed with GGA-PBE and Cu Kα (weighted mean of Kα1 and Kα2).
Peak positions follow from Bragg's law for the DFT cell and can differ from measured ones.

Cell and atoms:
```
11
Lattice="-3.3449 3.3449 8.8217 3.3449 -3.3449 8.8217 3.3449 3.3449 -8.8217" Properties=species:S:1:pos:R:3 pbc="T T T"
Pr 3.3449 0.0000 0.0000
Pr 2.1490 -2.1490 6.4935
Pr 1.1959 1.1959 2.3282
Pr 0.0000 3.3449 0.0000
Pr -2.1490 2.1490 6.4935
Pr 2.1490 2.1490 11.1499
Sm 2.0903 2.0903 -3.1155
Sm 1.2547 -1.2547 11.9372
Sm 1.2547 1.2547 5.7062
Sm -1.2547 1.2547 11.9372
Ho 0.0000 0.0000 8.8217
```

Largest 10 diffraction maxima, low angle first, 2θ from 10° to 90°:
two_theta, Rel. int.
27.65, 23.8
28.56, 71.1
30.33, 100.0
33.62, 59.5
35.96, 20.5
38.04, 20.6
39.48, 31.4
49.45, 19.3
57.00, 21.3
63.05, 17.0

3.
Diffraction record for PrSm4Ho5. The powder XRD pattern is computed, not measured: it uses a crystal structure in Alexandria, relaxed with GGA-PBE and Cu Kα (weighted mean of Kα1 and Kα2).
Peak positions follow from Bragg's law for the DFT cell and can differ from measured ones.

Cell and atoms:
```
10
Lattice="8.6126 -1.7735 0.0000 8.6126 1.7735 0.0000 -0.0418 0.0000 11.1524" Properties=species:S:1:pos:R:3 pbc="T T T"
Pr 0.0000 0.0000 0.0000
Sm 2.6542 0.0000 2.7861
Sm 8.0908 0.0000 2.8200
Sm 9.0925 0.0000 8.3324
Sm 14.5291 0.0000 8.3663
Ho -0.0209 0.0000 5.5762
Ho 5.5962 0.0000 0.6036
Ho 5.6110 0.0000 5.0367
Ho 11.5723 0.0000 6.1158
Ho 11.5871 0.0000 10.5488
```

Largest 10 diffraction maxima, low angle first, 2θ from 10° to 90°:
two_theta, Rel. int.
26.11, 19.1
26.88, 22.1
31.15, 28.3
31.74, 12.9
31.86, 12.3
32.11, 20.9
33.78, 100.0
48.50, 14.5
61.84, 12.7
62.04, 14.2